No. 1
For ThGe2Rh3, a crystal structure in Alexandria, relaxed with PBE gives the theoretical powder diffractogram in this record (CuKα).
Lines closer than 0.1° are merged.

Structure:
```
data_ThGe2Rh3
_chemical_formula_sum 'Th6 Ge12 Rh18'
_symmetry_space_group_name_H-M 'C 1 2/m 1'
_symmetry_Int_Tables_number 12
_cell_length_a 16.615
_cell_length_b 4.057
_cell_length_c 9.908
_cell_angle_alpha 90.00
_cell_angle_beta 107.91
_cell_angle_gamma 90.00
loop_
_symmetry_equiv_pos_as_xyz
'x,y,z'
'-x,-y,-z'
'-x,y,-z'
'x,-y,z'
'x+1/2,y+1/2,z'
'-x+1/2,-y+1/2,-z'
'-x+1/2,y+1/2,-z'
'x+1/2,-y+1/2,z'
loop_
_atom_site_label
_atom_site_type_symbol
_atom_site_fract_x
_atom_site_fract_y
_atom_site_fract_z
Th1 Th 0.000 0.000 0.000
Th2 Th 0.162 0.000 0.701
Ge1 Ge 0.038 0.500 0.774
Ge2 Ge 0.137 0.500 0.449
Ge3 Ge 0.194 0.000 0.125
Rh1 Rh 0.000 0.500 0.500
Rh2 Rh 0.044 0.000 0.330
Rh3 Rh 0.119 0.500 0.194
Rh4 Rh 0.179 0.500 0.956
Rh5 Rh 0.219 0.000 0.391
```

Peak list (6 most intense, 2θ from 10° to 90°, low angle first)
2θ/deg	I/Imax
31.03	27
34.02	24
34.91	42
35.17	100
36.44	24
44.67	51


No. 2
For Tl2Hg3Bi2, a crystal structure in Alexandria, relaxed with PBE gives the theoretical powder diffractogram in this record (CuKα).
Lines closer than 0.1° are merged.

Structure:
```
data_Tl2Hg3Bi2
_chemical_formula_sum 'Tl4 Hg6 Bi4'
_symmetry_space_group_name_H-M 'C m m m'
_symmetry_Int_Tables_number 65
_symmetry_space_group_name_Hall '-C 2 2'
_cell_length_a 4.280
_cell_length_b 29.507
_cell_length_c 3.433
_cell_angle_alpha 90.00
_cell_angle_beta 90.00
_cell_angle_gamma 90.00
loop_
_atom_site_label
_atom_site_type_symbol
_atom_site_fract_x
_atom_site_fract_y
_atom_site_fract_z
Tl1 Tl 0.000 0.133 0.000
Hg1 Hg 0.000 0.000 0.000
Hg2 Hg 0.000 0.437 0.500
Bi1 Bi 0.000 0.288 0.500
```

Peak list (6 most intense, 2θ from 10° to 90°, low angle first)
2θ/deg	I/Imax
29.75	100
33.60	71
35.73	43
56.48	23
58.19	23
62.30	26


No. 3
For Na3PrCl6, a crystal structure in Alexandria, relaxed with PBE gives the theoretical powder diffractogram in this record (CuKα).
Lines closer than 0.1° are merged.

Structure:
```
data_Na3PrCl6
_chemical_formula_sum 'Na9 Pr3 Cl18'
_symmetry_space_group_name_H-M 'R 3'
_symmetry_Int_Tables_number 146
_symmetry_space_group_name_Hall 'R 3'
_cell_length_a 7.1298
_cell_length_b 7.1298
_cell_length_c 19.2434
_cell_angle_alpha 90.00
_cell_angle_beta 90.00
_cell_angle_gamma 120.00
loop_
_atom_site_label
_atom_site_type_symbol
_atom_site_fract_x
_atom_site_fract_y
_atom_site_fract_z
Na1 Na 0.0000 0.0000 0.0000
Na2 Na 0.0000 0.0000 0.2013
Na3 Na 0.0000 0.0000 0.7052
Pr1 Pr 0.0000 0.0000 0.5050
Cl1 Cl 0.0122 0.3143 0.1018
Cl2 Cl 0.0353 0.6676 0.2664
```

Peak list (6 most intense, 2θ from 10° to 90°, low angle first)
2θ/deg	I/Imax
15.07	73
17.06	82
23.44	46
28.65	100
37.73	83
43.99	51


No. 4
For Tl4H2Br3, a crystal structure in Alexandria, relaxed with PBE gives the theoretical powder diffractogram in this record (CuKα).
Lines closer than 0.1° are merged.

Structure:
```
data_Tl4H2Br3
_chemical_formula_sum 'Tl16 H8 Br12'
_symmetry_space_group_name_H-M 'C 1 2/c 1'
_symmetry_Int_Tables_number 15
_cell_length_a 13.582
_cell_length_b 10.680
_cell_length_c 7.250
_cell_angle_alpha 90.00
_cell_angle_beta 100.74
_cell_angle_gamma 90.00
loop_
_symmetry_equiv_pos_as_xyz
'x,y,z'
'-x,-y,-z'
'-x,y,-z+1/2'
'x,-y,z+1/2'
'x+1/2,y+1/2,z'
'-x+1/2,-y+1/2,-z'
'-x+1/2,y+1/2,-z+1/2'
'x+1/2,-y+1/2,z+1/2'
loop_
_atom_site_label
_atom_site_type_symbol
_atom_site_fract_x
_atom_site_fract_y
_atom_site_fract_z
Tl1 Tl 0.108 0.179 0.035
Tl2 Tl 0.178 0.448 0.633
H1 H 0.188 0.410 0.931
Br1 Br 0.000 0.400 0.250
Br2 Br 0.133 0.129 0.604
```

Peak list (6 most intense, 2θ from 10° to 90°, low angle first)
2θ/deg	I/Imax
23.44	96
25.91	82
26.07	74
26.86	64
33.20	100
35.40	81


No. 5
For V3HRh, a crystal structure in Alexandria, relaxed with PBE gives the theoretical powder diffractogram in this record (CuKα).
Lines closer than 0.1° are merged.

Structure:
```
data_V3HRh
_chemical_formula_sum 'V12 H4 Rh4'
_symmetry_space_group_name_H-M 'C m c m'
_symmetry_Int_Tables_number 63
_symmetry_space_group_name_Hall '-C 2c 2'
_cell_length_a 5.385
_cell_length_b 8.238
_cell_length_c 5.130
_cell_angle_alpha 90.00
_cell_angle_beta 90.00
_cell_angle_gamma 90.00
loop_
_atom_site_label
_atom_site_type_symbol
_atom_site_fract_x
_atom_site_fract_y
_atom_site_fract_z
V1 V 0.000 0.246 0.250
V2 V 0.238 0.500 0.000
H1 H 0.000 0.019 0.250
Rh1 Rh 0.000 0.249 0.750
```

Peak list (6 most intense, 2θ from 10° to 90°, low angle first)
2θ/deg	I/Imax
26.32	29
40.00	100
41.48	91
43.97	39
49.05	55
67.97	38


No. 6
For GdPaTi2, a crystal structure in Alexandria, relaxed with PBE gives the theoretical powder diffractogram in this record (CuKα).
Lines closer than 0.1° are merged.

Structure:
```
data_GdPaTi2
_chemical_formula_sum 'Gd1 Pa1 Ti2'
_symmetry_space_group_name_H-M 'P 4/m m m'
_symmetry_Int_Tables_number 123
_symmetry_space_group_name_Hall '-P 4 2'
_cell_length_a 3.648
_cell_length_b 3.648
_cell_length_c 6.920
_cell_angle_alpha 90.00
_cell_angle_beta 90.00
_cell_angle_gamma 90.00
loop_
_atom_site_label
_atom_site_type_symbol
_atom_site_fract_x
_atom_site_fract_y
_atom_site_fract_z
Gd1 Gd 0.000 0.000 0.000
Pa1 Pa 0.000 0.000 0.500
Ti1 Ti 0.500 0.500 0.302
```

Peak list (6 most intense, 2θ from 10° to 90°, low angle first)
2θ/deg	I/Imax
24.40	51
25.75	26
34.78	59
35.77	100
43.77	26
62.99	38


No. 7
For Hf6ZrPb, a crystal structure in Alexandria, relaxed with PBE gives the theoretical powder diffractogram in this record (CuKα).
Lines closer than 0.1° are merged.

Structure:
```
data_Hf6ZrPb
_chemical_formula_sum 'Hf12 Zr2 Pb2'
_symmetry_space_group_name_H-M 'A m m 2'
_symmetry_Int_Tables_number 38
_cell_length_a 5.121
_cell_length_b 6.390
_cell_length_c 11.031
_cell_angle_alpha 90.00
_cell_angle_beta 90.00
_cell_angle_gamma 90.00
loop_
_symmetry_equiv_pos_as_xyz
'x,y,z'
'-x,-y,z'
'-x,y,z'
'x,-y,z'
'x,y+1/2,z+1/2'
'-x,-y+1/2,z+1/2'
'-x,y+1/2,z+1/2'
'x,-y+1/2,z+1/2'
loop_
_atom_site_label
_atom_site_type_symbol
_atom_site_fract_x
_atom_site_fract_y
_atom_site_fract_z
Hf1 Hf 0.000 0.000 0.000
Hf2 Hf 0.000 0.248 0.250
Hf3 Hf 0.500 0.000 0.168
Hf4 Hf 0.500 0.248 0.918
Zr1 Zr 0.000 0.000 0.496
Pb1 Pb 0.500 0.000 0.667
```

Peak list (6 most intense, 2θ from 10° to 90°, low angle first)
2θ/deg	I/Imax
32.41	24
35.04	26
36.97	100
48.47	16
64.13	20
69.47	14


No. 8
For AcNdSm3, a crystal structure in Alexandria, relaxed with PBE gives the theoretical powder diffractogram in this record (CuKα).
Lines closer than 0.1° are merged.

Structure:
```
data_AcNdSm3
_chemical_formula_sum 'Ac2 Nd2 Sm6'
_symmetry_space_group_name_H-M 'P -1'
_symmetry_Int_Tables_number 2
_cell_length_a 3.759
_cell_length_b 8.853
_cell_length_c 11.512
_cell_angle_alpha 105.10
_cell_angle_beta 99.33
_cell_angle_gamma 90.10
loop_
_symmetry_equiv_pos_as_xyz
'x,y,z'
'-x,-y,-z'
loop_
_atom_site_label
_atom_site_type_symbol
_atom_site_fract_x
_atom_site_fract_y
_atom_site_fract_z
Ac1 Ac 0.213 0.309 0.430
Nd1 Nd 0.016 0.717 0.033
Sm1 Sm 0.182 0.882 0.361
Sm2 Sm 0.387 0.482 0.773
Sm3 Sm 0.417 0.925 0.839
```

Peak list (6 most intense, 2θ from 10° to 90°, low angle first)
2θ/deg	I/Imax
27.46	31
29.74	51
31.25	67
31.35	100
31.56	33
57.89	23